# NdBC
Computed powder diffraction line list, Cu Ka. Input: the PBE geometry in Alexandria.
Kinematic intensities with the Lorentz-polarization factor, no thermal factor.

Crystal structure
```
NdBC
1.0
8.4505 0.0000 0.0000
0.0000 8.4818 0.0000
0.0000 0.0000 12.3246
Nd B C
20 20 20
Cartesian
0.4192 0.8222 1.7318
0.5358 5.9229 7.8052
1.3449 5.0302 11.1445
1.3536 8.4056 5.1828
2.0661 2.4515 8.3141
2.1592 6.0303 2.1518
2.8717 0.0762 11.3451
2.8804 3.4517 4.9822
3.6894 2.5589 1.6429
3.8061 7.6596 7.8941
4.6444 3.4187 10.5928
4.7611 6.7998 4.5194
5.5701 7.6926 1.1801
5.5788 4.3171 7.1418
6.2913 1.7894 4.0104
6.3844 6.6924 10.1727
7.0969 4.1647 0.9795
7.1056 0.7893 7.3424
7.9147 1.6820 10.6817
8.0313 5.0631 4.4305
0.1521 7.5346 11.8200
0.5120 2.5188 3.9542
0.8048 8.2860 9.1163
0.9830 3.3690 2.6312
1.5369 2.6118 12.2258
2.6883 5.8701 6.0635
3.2422 5.1128 8.7935
3.4204 0.1958 2.9540
3.7132 5.9630 10.1165
4.0731 0.9472 5.6577
4.3774 5.1881 0.5046
4.7372 1.7221 8.3704
5.0301 4.4367 3.2083
5.2082 0.8719 9.6934
5.7621 1.6291 0.0988
6.9136 6.8527 6.2611
7.4675 7.6099 3.5311
7.6457 4.0451 9.3706
7.9385 6.7597 2.2081
8.2983 3.2937 6.6669
0.1915 2.5853 5.4073
0.4766 7.5523 10.3716
1.2271 3.3631 1.1507
1.2266 8.4541 7.7164
2.0676 2.5304 10.8584
2.1577 5.9514 4.6961
2.9987 0.0277 1.5541
2.9981 5.1188 7.3130
3.7486 0.9296 4.2093
4.0338 5.8966 11.5696
4.4167 1.6556 6.9173
4.7019 5.1705 1.9530
5.4524 0.8779 11.1739
5.4518 4.2686 4.6082
6.2928 1.7105 1.4662
6.3829 6.7713 7.6285
7.2239 4.2132 10.7705
7.2233 7.6040 5.0116
7.9739 3.3114 8.1153
8.2590 6.8262 0.7550
```

The 6 most intense peaks (2θ = 10–90°), in order of falling intensity:
Position (°2θ)  intensity
34.3  100
32.2  88
24.6  77
27.6  52
29.0  40
36.6  37

***

# Pu4FeIr3
Computed powder diffraction line list, Cu Ka. Input: the PBE geometry in Alexandria.
Kinematic intensities with the Lorentz-polarization factor, no thermal factor.

Crystal structure
```
Pu4FeIr3
1.0
-5.2572 5.3637 2.7577
5.2572 -5.3637 2.7577
5.2572 5.3637 -2.7577
Pu Fe Ir
8 2 6
Cartesian
8.0875 0.9125 0.0000
0.9402 2.5248 0.0000
6.1974 2.8388 0.0000
2.8303 4.4512 0.0000
2.4269 0.9125 2.7577
-0.9402 2.5248 2.7577
4.3170 2.8388 2.7577
-2.8303 4.4512 2.7577
5.2572 0.0000 1.3788
0.0000 5.3637 1.3788
3.6703 1.6101 0.0000
0.0000 0.0000 1.3788
3.6703 -1.6101 2.7577
1.5869 6.9737 0.0000
0.0000 0.0000 4.1365
1.5869 3.7536 2.7577
```

The 6 most intense peaks (2θ = 10–90°), in order of falling intensity:
Position (°2θ)  intensity
34.4  100
34.6  90
38.3  84
32.5  84
38.9  80
38.1  66

***

# Cs2Pu3Br8
Computed powder diffraction line list, Cu Ka. Input: the PBE geometry in Alexandria.
Kinematic intensities with the Lorentz-polarization factor, no thermal factor.

Crystal structure
```
Cs2Pu3Br8
1.0
8.8428 -4.3791 0.0000
8.8428 4.3791 0.0000
-2.1670 0.0000 7.2302
Cs Pu Br
2 3 8
Cartesian
3.7889 0.0000 1.2740
11.7297 0.0000 5.9562
7.7593 2.1791 3.6151
8.8428 0.0000 0.0000
7.7593 -2.1791 3.6151
0.8989 0.0000 3.3539
6.8198 2.0321 0.7819
8.6988 2.0321 6.4483
5.7804 0.0000 4.3742
9.7382 0.0000 2.8560
6.8198 -2.0321 0.7819
8.6988 -2.0321 6.4483
14.6197 0.0000 3.8763
```

The 6 most intense peaks (2θ = 10–90°), in order of falling intensity:
Position (°2θ)  intensity
10.4  100
29.4  92
34.2  63
24.5  49
29.5  48
41.4  43